1.
Starting from DFT lattice parameters and positions (GGA-PBE), the powder XRD pattern of Os3Br4 was calculated for Cu Ka.
Lines closer than 0.1° are merged.

The 12 most intense peaks (10° ≤ 2θ ≤ 90°), sorted by position:
| Position (°2θ) | intensity | index |
| --- | --- | --- |
| 11.56 | 100.0 | 0 0 4 |
| 35.46 | 73.8 | 1 0 7 |
| 41.13 | 37.7 | 1 1 0 |
| 42.86 | 17.1 | 1 1 4 |
| 43.67 | 46.3 | 1 0 11 |
| 53.89 | 7.3 | 0 0 18 |
| 59.57 | 12.7 | 2 0 0 |
| 60.90 | 6.2 | 2 0 4 |
| 69.96 | 13.5 | 1 1 18 |
| 71.27 | 19.5 | 2 1 7 |
| 76.71 | 17.8 | 2 1 11 |
| 84.50 | 8.3 | 2 0 18 |

Structural model:
Unit cell a=3.104 b=3.104 c=30.625 alpha=90.00 beta=90.00 gamma=90.00
Space group I4/mmm (No. 139)
Unique sites:
Os 0.000 0.000 0.000 (multiplicity 2)
Os 0.000 0.000 0.273 (multiplicity 4)
Br 0.000 0.000 0.164 (multiplicity 4)
Br 0.000 0.000 0.448 (multiplicity 4)

---

2.
Starting from DFT lattice parameters and positions (GGA-PBE), the powder XRD pattern of POs2Br was calculated for Cu Ka.
Lines closer than 0.1° are merged.

The 12 most intense peaks (10° ≤ 2θ ≤ 90°), sorted by position:
| Position (°2θ) | intensity | index |
| --- | --- | --- |
| 12.29 | 81.1 | 0 0 1 |
| 25.80 | 100.0 | 2 0 -1 |
| 32.87 | 45.4 | 1 1 0 |
| 33.50 | 36.3 | 1 1 -1 |
| 36.86 | 31.8 | 1 1 1 |
| 37.46 | 38.9 | 0 0 3 |
| 38.55 | 40.3 | 1 1 -2 |
| 43.11 | 35.6 | 2 0 2 |
| 44.41 | 18.0 | 1 1 2 |
| 46.81 | 35.7 | 1 1 -3 |
| 48.84 | 20.9 | 2 0 -4 |
| 49.72 | 31.7 | 3 1 -1 |

Structural model:
Unit cell a=6.960 b=2.996 c=7.647 alpha=90.00 beta=109.64 gamma=90.00
Space group C2/m (No. 12)
Unique sites:
P 0.000 0.000 0.000 (multiplicity 2)
Os 0.152 0.500 0.845 (multiplicity 4)
Br 0.000 0.500 0.500 (multiplicity 2)

---

3.
Starting from DFT lattice parameters and positions (GGA-PBE), the powder XRD pattern of OsPb2Br was calculated for Cu Ka.
Lines closer than 0.1° are merged.

The 12 most intense peaks (10° ≤ 2θ ≤ 90°), sorted by position:
| Position (°2θ) | intensity | index |
| --- | --- | --- |
| 31.74 | 100.0 | 1 0 4 |
| 37.31 | 12.1 | 1 0 7 |
| 39.61 | 48.8 | 0 1 8 |
| 40.54 | 12.2 | 0 0 12 |
| 47.51 | 10.7 | 0 1 11 |
| 50.86 | 28.4 | 1 1 0 |
| 61.21 | 15.7 | 0 2 4 |
| 66.32 | 10.9 | 2 0 8 |
| 66.97 | 17.0 | 1 1 12 |
| 75.15 | 8.1 | 1 1 15 |
| 83.52 | 13.6 | 2 1 4 |
| 88.12 | 10.8 | 1 2 8 |

Structural model:
Unit cell a=3.5907 b=3.5907 c=26.7058 alpha=90.00 beta=90.00 gamma=120.00
Space group R-3m (No. 166, hexagonal axes)
Unique sites:
Os 0.0000 0.0000 0.0000 (multiplicity 3)
Pb 0.0000 0.0000 0.2604 (multiplicity 6)
Br 0.0000 0.0000 0.5000 (multiplicity 3)

---

4.
Starting from DFT lattice parameters and positions (GGA-PBE), the powder XRD pattern of OsPb4Br was calculated for Cu Ka.
Lines closer than 0.1° are merged.

The 12 most intense peaks (10° ≤ 2θ ≤ 90°), sorted by position:
| Position (°2θ) | intensity | index |
| --- | --- | --- |
| 17.13 | 23.3 | 1 1 1 |
| 28.15 | 15.1 | 2 2 0 |
| 33.14 | 100.0 | 3 1 1 |
| 34.66 | 55.4 | 2 2 2 |
| 40.24 | 12.5 | 4 0 0 |
| 44.03 | 6.8 | 3 3 1 |
| 49.83 | 6.3 | 4 2 2 |
| 53.08 | 35.8 | 3 3 3 |
| 58.21 | 33.2 | 4 4 0 |
| 68.65 | 12.6 | 5 3 3 |
| 69.56 | 23.1 | 6 2 2 |
| 82.68 | 23.6 | 7 3 1 |

Structural model:
Unit cell a=8.965 b=8.965 c=8.965 alpha=90.00 beta=90.00 gamma=90.00
Space group F-43m (No. 216)
Unique sites:
Os 0.000 0.000 0.000 (multiplicity 4)
Pb 0.126 0.126 0.626 (multiplicity 16)
Br 0.250 0.250 0.250 (multiplicity 4)

---

5.
Starting from DFT lattice parameters and positions (GGA-PBE), the powder XRD pattern of Pm4OsPdBr2 was calculated for Cu Ka.
Lines closer than 0.1° are merged.

The 12 most intense peaks (10° ≤ 2θ ≤ 90°), sorted by position:
| Position (°2θ) | intensity | index |
| --- | --- | --- |
| 11.36 | 45.6 | 0 0 1 |
| 29.18 | 100.0 | 1 1 1 |
| 29.34 | 49.0 | 2 0 -2 |
| 36.73 | 16.1 | 1 1 2 |
| 39.81 | 46.0 | 1 1 -3 |
| 43.58 | 18.7 | 0 2 0 |
| 43.83 | 35.7 | 3 1 -1 |
| 49.89 | 16.0 | 2 0 3 |
| 53.40 | 18.3 | 2 2 -2 |
| 53.64 | 8.6 | 4 0 0 |
| 60.49 | 8.8 | 2 2 2 |
| 77.82 | 8.2 | 4 2 -4 |

Structural model:
Unit cell a=7.142 b=4.154 c=8.141 alpha=90.00 beta=106.87 gamma=90.00
Space group P2/m (No. 10)
Unique sites:
Pm 0.220 0.000 0.199 (multiplicity 2)
Pm 0.256 0.500 0.803 (multiplicity 2)
Os 0.000 0.500 0.000 (multiplicity 1)
Pd 0.500 0.000 0.000 (multiplicity 1)
Br 0.000 0.000 0.500 (multiplicity 1)
Br 0.500 0.500 0.500 (multiplicity 1)

---

6.
Starting from DFT lattice parameters and positions (GGA-PBE), the powder XRD pattern of Pm7OsBr12 was calculated for Cu Ka.
Lines closer than 0.1° are merged.

The 12 most intense peaks (10° ≤ 2θ ≤ 90°), sorted by position:
| Position (°2θ) | intensity | index |
| --- | --- | --- |
| 10.60 | 30.8 | 1 0 1 |
| 11.57 | 56.1 | 1 1 0 |
| 21.28 | 7.6 | 2 0 2 |
| 29.44 | 100.0 | 4 -1 2 |
| 33.88 | 9.9 | 5 -3 2 |
| 41.63 | 36.7 | 1 3 4 |
| 42.62 | 35.0 | 5 2 0 |
| 52.65 | 17.5 | 2 6 2 |
| 61.09 | 10.7 | 8 -2 4 |
| 68.54 | 12.2 | 5 2 6 |
| 69.97 | 15.4 | 9 1 2 |
| 77.33 | 10.5 | 6 5 4 |

Structural model:
Unit cell a=15.2980 b=15.2980 c=10.7526 alpha=90.00 beta=90.00 gamma=120.00
Space group R-3 (No. 148, hexagonal axes)
Unique sites:
Pm 0.0000 0.0000 0.0000 (multiplicity 3)
Pm 0.0414 0.8754 0.3565 (multiplicity 18)
Os 0.0000 0.0000 0.5000 (multiplicity 3)
Br 0.0229 0.4382 0.1570 (multiplicity 18)
Br 0.0434 0.8759 0.8363 (multiplicity 18)

---

7.
Starting from DFT lattice parameters and positions (GGA-PBE), the powder XRD pattern of Pr6Os2SeBr3 was calculated for Cu Ka.
Lines closer than 0.1° are merged.

The 12 most intense peaks (10° ≤ 2θ ≤ 90°), sorted by position:
| Position (°2θ) | intensity | index |
| --- | --- | --- |
| 11.47 | 27.5 | 0 0 1 |
| 28.72 | 100.0 | 2 0 -2 |
| 36.51 | 15.2 | 1 3 2 |
| 39.60 | 31.4 | 1 3 -3 |
| 42.48 | 36.3 | 0 6 0 |
| 44.15 | 6.0 | 3 3 0 |
| 49.90 | 9.5 | 2 0 3 |
| 52.09 | 17.9 | 2 6 -2 |
| 59.47 | 8.9 | 4 0 -4 |
| 65.29 | 8.2 | 3 3 -5 |
| 69.38 | 9.7 | 5 3 -3 |
| 75.79 | 8.7 | 4 6 -4 |

Structural model:
Unit cell a=7.373 b=12.763 c=8.097 alpha=90.00 beta=107.63 gamma=90.00
Space group C2/m (No. 12)
Unique sites:
Pr 0.210 0.000 0.200 (multiplicity 4)
Pr 0.245 0.322 0.201 (multiplicity 8)
Os 0.000 0.167 0.000 (multiplicity 4)
Se 0.000 0.500 0.000 (multiplicity 2)
Br 0.000 0.000 0.500 (multiplicity 2)
Br 0.000 0.336 0.500 (multiplicity 4)

---

8.
Starting from DFT lattice parameters and positions (GGA-PBE), the powder XRD pattern of Rb2OsBr7 was calculated for Cu Ka.
Lines closer than 0.1° are merged.

The 12 most intense peaks (10° ≤ 2θ ≤ 90°), sorted by position:
| Position (°2θ) | intensity | index |
| --- | --- | --- |
| 13.31 | 78.3 | 1 0 1 |
| 15.29 | 26.7 | 0 0 2 |
| 15.42 | 51.9 | 1 1 0 |
| 21.82 | 85.9 | 1 1 2 |
| 26.80 | 49.2 | 2 0 2 |
| 30.87 | 50.5 | 0 0 4 |
| 31.13 | 100.0 | 2 2 0 |
| 40.79 | 23.4 | 3 2 1 |
| 44.41 | 64.7 | 2 2 4 |
| 44.61 | 32.4 | 4 0 0 |
| 50.19 | 20.8 | 3 3 2 |
| 55.23 | 29.8 | 4 0 4 |

Structural model:
Unit cell a=8.126 b=8.126 c=11.587 alpha=90.00 beta=90.00 gamma=90.00
Space group I4/mmm (No. 139)
Unique sites:
Rb 0.000 0.500 0.250 (multiplicity 4)
Os 0.000 0.000 0.000 (multiplicity 2)
Br 0.000 0.000 0.216 (multiplicity 4)
Br 0.000 0.000 0.500 (multiplicity 2)
Br 0.218 0.218 0.000 (multiplicity 8)

---

9.
Starting from DFT lattice parameters and positions (GGA-PBE), the powder XRD pattern of Rb2OsSeBr6 was calculated for Cu Ka.
Lines closer than 0.1° are merged.

The 12 most intense peaks (10° ≤ 2θ ≤ 90°), sorted by position:
| Position (°2θ) | intensity | index |
| --- | --- | --- |
| 13.72 | 54.8 | 1 0 1 |
| 15.27 | 51.5 | 1 1 0 |
| 16.98 | 18.3 | 0 0 2 |
| 21.66 | 28.3 | 2 0 0 |
| 22.91 | 45.1 | 1 1 2 |
| 27.65 | 48.6 | 2 0 2 |
| 30.82 | 100.0 | 2 2 0 |
| 34.35 | 41.8 | 0 0 4 |
| 40.57 | 19.9 | 3 2 1 |
| 44.15 | 32.3 | 4 0 0 |
| 46.81 | 61.3 | 2 2 4 |
| 57.10 | 29.8 | 4 0 4 |

Structural model:
Unit cell a=8.205 b=8.205 c=10.444 alpha=90.00 beta=90.00 gamma=90.00
Space group I4/mmm (No. 139)
Unique sites:
Rb 0.000 0.500 0.250 (multiplicity 4)
Os 0.000 0.000 0.000 (multiplicity 2)
Se 0.000 0.000 0.500 (multiplicity 2)
Br 0.000 0.000 0.245 (multiplicity 4)
Br 0.217 0.217 0.000 (multiplicity 8)

---

10.
Starting from DFT lattice parameters and positions (GGA-PBE), the powder XRD pattern of Rb2SiOsBr6 was calculated for Cu Ka.
Lines closer than 0.1° are merged.

The 12 most intense peaks (10° ≤ 2θ ≤ 90°), sorted by position:
| Position (°2θ) | intensity | index |
| --- | --- | --- |
| 14.45 | 41.8 | 1 0 1 |
| 16.70 | 31.9 | 1 1 0 |
| 23.71 | 32.5 | 2 0 0 |
| 27.88 | 18.8 | 1 0 3 |
| 29.14 | 52.3 | 2 0 2 |
| 33.78 | 100.0 | 2 2 0 |
| 37.91 | 15.7 | 3 1 0 |
| 41.69 | 14.4 | 3 1 2 |
| 48.52 | 70.2 | 4 0 0 |
| 57.60 | 20.7 | 4 2 2 |
| 60.42 | 23.9 | 4 0 4 |
| 80.98 | 20.7 | 6 2 0 |

Structural model:
Unit cell a=7.510 b=7.510 c=10.601 alpha=90.00 beta=90.00 gamma=90.00
Space group I4/mmm (No. 139)
Unique sites:
Rb 0.000 0.500 0.250 (multiplicity 4)
Si 0.000 0.000 0.000 (multiplicity 2)
Os 0.000 0.000 0.500 (multiplicity 2)
Br 0.000 0.000 0.258 (multiplicity 4)
Br 0.242 0.242 0.500 (multiplicity 8)

---

11.
Starting from DFT lattice parameters and positions (GGA-PBE), the powder XRD pattern of RbTl2OsBr8 was calculated for Cu Ka.
Lines closer than 0.1° are merged.

The 12 most intense peaks (10° ≤ 2θ ≤ 90°), sorted by position:
| Position (°2θ) | intensity | index |
| --- | --- | --- |
| 14.82 | 72.4 | 1 0 0 |
| 15.41 | 21.2 | 0 1 1 |
| 22.29 | 53.6 | 0 2 1 |
| 23.58 | 41.2 | 1 0 -2 |
| 29.41 | 100.0 | 1 2 1 |
| 30.84 | 38.4 | 2 0 -2 |
| 33.47 | 27.8 | 2 2 -1 |
| 37.52 | 19.1 | 0 4 0 |
| 39.59 | 29.2 | 1 2 -3 |
| 41.37 | 17.2 | 2 2 1 |
| 42.18 | 17.5 | 0 2 3 |
| 46.47 | 22.5 | 3 2 -1 |

Structural model:
Unit cell a=6.458 b=9.591 c=7.761 alpha=90.00 beta=112.22 gamma=90.00
Space group P2/m (No. 10)
Unique sites:
Rb 0.000 0.000 0.000 (multiplicity 1)
Tl 0.000 0.242 0.500 (multiplicity 2)
Os 0.000 0.500 0.000 (multiplicity 1)
Br 0.232 0.500 0.808 (multiplicity 2)
Br 0.245 0.317 0.208 (multiplicity 4)
Br 0.301 0.000 0.708 (multiplicity 2)

---

12.
Starting from DFT lattice parameters and positions (GGA-PBE), the powder XRD pattern of OsRu4Br was calculated for Cu Ka.
Lines closer than 0.1° are merged.

The 12 most intense peaks (10° ≤ 2θ ≤ 90°), sorted by position:
| Position (°2θ) | intensity | index |
| --- | --- | --- |
| 21.23 | 6.7 | 1 1 1 |
| 24.56 | 6.1 | 2 0 0 |
| 35.01 | 35.1 | 2 2 0 |
| 41.31 | 100.0 | 3 1 1 |
| 43.24 | 32.5 | 2 2 2 |
| 56.80 | 2.9 | 4 2 0 |
| 62.80 | 12.9 | 4 2 2 |
| 67.10 | 31.3 | 3 3 3 |
| 73.97 | 25.0 | 4 4 0 |
| 84.54 | 5.8 | 6 2 0 |
| 88.44 | 11.5 | 5 3 3 |
| 89.74 | 12.1 | 6 2 2 |

Structural model:
Unit cell a=7.249 b=7.249 c=7.249 alpha=90.00 beta=90.00 gamma=90.00
Space group F-43m (No. 216)
Unique sites:
Os 0.000 0.000 0.000 (multiplicity 4)
Ru 0.125 0.125 0.625 (multiplicity 16)
Br 0.250 0.250 0.250 (multiplicity 4)

---

Question: Which formula does entry 8 have?
Answer: Rb2OsBr7

---

Question: Which formula does entry 5 have?
Answer: Pm4OsPdBr2